Entry 1:
Structure and computed powder XRD pattern of KCdTc3 (a structure optimized by DFT (GGA-PBE); λ = 1.5418 Å (Cu Kα)).
Neutral-atom scattering factors, no anomalous dispersion.

Peak list (10 most intense, 2θ = 10–90°, sorted by position)
index, 2theta, d_spacing, Rel. int.
1 0 0, 17.01, 5.213, 82.9
1 1 1, 29.68, 3.010, 49.7
2 0 0, 34.41, 2.607, 100.0
2 1 0, 38.62, 2.331, 42.7
2 2 0, 49.45, 1.843, 69.2
3 0 0, 52.67, 1.738, 21.5
3 1 1, 58.74, 1.572, 20.1
2 2 2, 61.63, 1.505, 23.2
4 1 0, 75.14, 1.264, 11.8
4 2 0, 82.80, 1.166, 29.4

Cell and atoms:
```
KCdTc3
1.0
5.213 0.000 0.000
0.000 5.213 0.000
0.000 0.000 5.213
K Cd Tc
1 1 3
Cartesian
0.000 0.000 0.000
2.607 2.607 2.607
0.000 2.607 2.607
2.607 0.000 2.607
2.607 2.607 0.000
```

Entry 2:
Structure and computed powder XRD pattern of CrFe2TePt (a structure optimized by DFT (GGA-PBE); λ = 1.5418 Å (Cu Kα)).
Neutral-atom scattering factors, no anomalous dispersion.

Peak list (10 most intense, 2θ = 10–90°, sorted by position)
index, 2theta, d_spacing, Rel. int.
1 0 0, 19.04, 4.662, 100.0
1 1 0, 27.05, 3.297, 39.9
1 1 1, 32.75, 2.734, 45.2
0 0 2, 36.72, 2.447, 34.0
2 0 0, 38.62, 2.331, 59.0
1 0 2, 41.68, 2.167, 27.8
2 1 0, 43.40, 2.085, 24.8
2 0 2, 54.35, 1.688, 42.6
2 1 2, 58.12, 1.587, 21.5
2 2 2, 68.65, 1.367, 20.6

Cell and atoms:
```
CrFe2TePt
1.0
4.662 0.000 0.000
0.000 4.662 0.000
0.000 0.000 4.895
Cr Fe Te Pt
1 2 1 1
Cartesian
0.000 0.000 0.000
0.000 2.331 2.447
2.331 0.000 2.447
2.331 2.331 2.447
2.331 2.331 0.000
```